[1]
For Al2PdI4Br4, a DFT-relaxed cell (GGA-PBE, OQMD) gives the theoretical powder diffractogram in this record (Cu Kα (λ = 1.5418 Å)).

Cell and atoms:
Cell: 13.3519 9.0040 7.7813 Å, 90.00 98.99 90.00°
Space group C2/m (No. 12)
Asymmetric unit:
1 Al 0.2129 0.0000 0.3177 (multiplicity 4)
2 Pd 0.0000 0.0000 0.0000 (multiplicity 2)
3 I 0.1094 0.5000 0.7430 (multiplicity 4)
4 I 0.1901 0.0000 0.6317 (multiplicity 4)
5 Br 0.1121 0.1924 0.1581 (multiplicity 8)

The 8 most intense peaks (2θ = 10–90°), most intense first:
- 2θ 27.56, I 100
- 2θ 23.84, I 83
- 2θ 25.13, I 51
- 2θ 45.80, I 38
- 2θ 24.93, I 33
- 2θ 19.72, I 33
- 2θ 19.05, I 26
- 2θ 15.84, I 25

[2]
For LaNdAl2Br2, a DFT-relaxed cell (GGA-PBE, OQMD) gives the theoretical powder diffractogram in this record (Cu Kα (λ = 1.5418 Å)).

Cell and atoms:
Cell: 4.3548 4.3548 11.7388 Å, 90.00 90.00 120.00°
Space group P3m1 (No. 156)
Asymmetric unit:
1 La 0.0000 0.0000 0.0000 (multiplicity 1)
2 Nd 0.0000 0.0000 0.6274 (multiplicity 1)
3 Al 0.3333 0.6667 0.7976 (multiplicity 1)
4 Al 0.6667 0.3333 0.8292 (multiplicity 1)
5 Br 0.3333 0.6667 0.1534 (multiplicity 1)
6 Br 0.6667 0.3333 0.4754 (multiplicity 1)

The 8 most intense peaks (2θ = 10–90°), most intense first:
- 2θ 32.99, I 100
- 2θ 28.12, I 60
- 2θ 41.47, I 48
- 2θ 24.80, I 45
- 2θ 15.09, I 36
- 2θ 45.51, I 27
- 2θ 23.59, I 25
- 2θ 53.98, I 24